(1)
Cd5Ga2: simulated powder XRD pattern (Cu Kα, 1.54184 Å), based on a cell relaxed with GGA-PBE.
Kinematic intensities with the Lorentz-polarization factor, no thermal factor.

```
data_Cd5Ga2
_symmetry_space_group_name_H-M 'R -3 m'
_symmetry_Int_Tables_number 166
_symmetry_space_group_name_Hall '-R 3 2"'
_cell_length_a 4.7782
_cell_length_b 4.7782
_cell_length_c 23.7336
_cell_angle_alpha 90.00
_cell_angle_beta 90.00
_cell_angle_gamma 120.00
loop_
_atom_site_label
_atom_site_type_symbol
_atom_site_fract_x
_atom_site_fract_y
_atom_site_fract_z
Cd1 Cd 0.0000 0.0000 0.0000
Cd2 Cd 0.0000 0.0000 0.2854
Cd3 Cd 0.0000 0.0000 0.4308
Ga1 Ga 0.0000 0.0000 0.1495
```

Principal peaks in the range 2θ from 10° to 90°, low angle first:
| Position (°2θ) | I_rel | index |
| --- | --- | --- |
| 34.19 | 100 | 1 0 7 |
| 37.65 | 78 | 1 1 0 |
| 51.76 | 30 | 0 2 7 |
| 58.87 | 19 | 0 1 14 |
| 65.75 | 28 | 2 1 7 |
| 84.23 | 13 | 1 2 14 |


(2)
LaTb15Er4: simulated powder XRD pattern (Cu Kα, 1.54184 Å), based on a cell relaxed with GGA-PBE.
Kinematic intensities with the Lorentz-polarization factor, no thermal factor.

```
data_LaTb15Er4
_symmetry_space_group_name_H-M 'P 4/m m m'
_symmetry_Int_Tables_number 123
_symmetry_space_group_name_Hall '-P 4 2'
_cell_length_a 5.035
_cell_length_b 5.035
_cell_length_c 25.207
_cell_angle_alpha 90.00
_cell_angle_beta 90.00
_cell_angle_gamma 90.00
loop_
_atom_site_label
_atom_site_type_symbol
_atom_site_fract_x
_atom_site_fract_y
_atom_site_fract_z
La1 La 0.000 0.000 0.000
Tb1 Tb 0.000 0.500 0.103
Tb2 Tb 0.000 0.500 0.301
Tb3 Tb 0.000 0.500 0.500
Tb4 Tb 0.500 0.500 0.000
Tb5 Tb 0.500 0.500 0.203
Tb6 Tb 0.500 0.500 0.401
Er1 Er 0.000 0.000 0.202
Er2 Er 0.000 0.000 0.401
```

Principal peaks in the range 2θ from 10° to 90°, low angle first:
| Position (°2θ) | I_rel | index |
| --- | --- | --- |
| 30.74 | 100 | 1 1 5 |
| 35.65 | 51 | 2 0 0 |
| 51.30 | 36 | 2 2 0 |
| 61.00 | 43 | 3 1 5 |
| 64.03 | 12 | 2 2 10 |
| 83.68 | 17 | 3 3 5 |


(3)
ScCoH3: simulated powder XRD pattern (Cu Kα, 1.54184 Å), based on a cell relaxed with GGA-PBE.
Kinematic intensities with the Lorentz-polarization factor, no thermal factor.

```
data_ScCoH3
_symmetry_space_group_name_H-M 'I m m 2'
_symmetry_Int_Tables_number 44
_symmetry_space_group_name_Hall 'I 2 -2'
_cell_length_a 3.110
_cell_length_b 3.384
_cell_length_c 7.932
_cell_angle_alpha 90.00
_cell_angle_beta 90.00
_cell_angle_gamma 90.00
loop_
_atom_site_label
_atom_site_type_symbol
_atom_site_fract_x
_atom_site_fract_y
_atom_site_fract_z
Sc1 Sc 0.000 0.000 0.000
Co1 Co 0.000 0.000 0.669
H1 H 0.000 0.000 0.468
H2 H 0.000 0.500 0.260
H3 H 0.000 0.500 0.699
```

Principal peaks in the range 2θ from 10° to 90°, low angle first:
| Position (°2θ) | I_rel | index |
| --- | --- | --- |
| 22.42 | 61 | 0 0 2 |
| 28.68 | 68 | 0 1 1 |
| 30.88 | 55 | 1 0 1 |
| 39.35 | 100 | 1 1 0 |
| 43.43 | 73 | 0 1 3 |
| 45.00 | 68 | 1 0 3 |